Starting from a structure optimized by DFT (PBE), the X-ray diffraction stick pattern of Pm3Tm5 was calculated for Cu Kα (λ = 1.5418 Å).
Neutral-atom scattering factors, no anomalous dispersion.

Atomic structure:
```
Pm3Tm5
1.0
3.547 0.000 0.000
0.000 3.547 0.000
0.000 0.000 20.107
Pm Tm
3 5
direct
0.000 0.000 0.000 Pm
0.500 0.500 0.374 Pm
0.500 0.500 0.626 Pm
0.000 0.000 0.248 Tm
0.000 0.000 0.500 Tm
0.000 0.000 0.752 Tm
0.500 0.500 0.126 Tm
0.500 0.500 0.874 Tm
```

Main lines, by angle (2θ from 10° to 90°):
2.898 Å, I 100
2.510 Å, I 51
1.775 Å, I 36
1.515 Å, I 14
1.513 Å, I 29
1.449 Å, I 12
1.152 Å, I 18
1.122 Å, I 11

Starting from a structure optimized by DFT (PBE), the X-ray diffraction stick pattern of La4SmDy10 was calculated for Cu Kα (λ = 1.5418 Å).
Neutral-atom scattering factors, no anomalous dispersion.

Atomic structure:
```
La4SmDy10
1.0
-4.887 4.887 5.379
4.887 -4.887 5.379
4.887 4.887 -5.379
La Sm Dy
4 1 10
direct
0.064 0.666 0.730 La
0.334 0.064 0.398 La
0.666 0.936 0.602 La
0.936 0.334 0.270 La
0.000 0.000 0.000 Sm
0.132 0.226 0.677 Dy
0.226 0.549 0.093 Dy
0.250 0.750 0.500 Dy
0.451 0.544 0.677 Dy
0.456 0.132 0.907 Dy
0.544 0.868 0.093 Dy
0.549 0.456 0.323 Dy
0.750 0.250 0.500 Dy
0.774 0.451 0.907 Dy
0.868 0.774 0.323 Dy
```

Main lines, by angle (2θ from 10° to 90°):
3.366 Å, I 83
3.118 Å, I 77
3.091 Å, I 100
2.772 Å, I 80
2.680 Å, I 83
2.629 Å, I 42
2.163 Å, I 32
2.026 Å, I 45